1.
Starting from a DFT-relaxed cell (GGA-PBE, the Materials Project), the PXRD pattern of YMg6Sn was calculated for Cu Kα (λ = 1.5418 Å).
No peak broadening, texture or thermal motion is included.

Crystal structure
```
data_YMg6Sn
_space_group_name_H-M_alt 'A m m 2'
_space_group_IT_number 38
_space_group_name_Hall 'A 2 -2'
_cell_length_a 5.192
_cell_length_b 6.321
_cell_length_c 11.755
_cell_angle_alpha 90.00
_cell_angle_beta 90.00
_cell_angle_gamma 90.00
loop_
_atom_site_label
_atom_site_fract_x
_atom_site_fract_y
_atom_site_fract_z
Y1 0.000 0.000 0.000
Mg1 0.000 0.250 0.247
Mg2 0.500 0.000 0.163
Mg3 0.500 0.000 0.659
Mg4 0.500 0.247 0.901
Sn1 0.000 0.000 0.493
```

Largest 10 diffraction maxima, sorted by position, 5 to 70 degrees two-theta:
2θ = 15.1°, d 5.878, intensity 50, (0 0 2); 2θ = 17.1°, d 5.192, intensity 41, (1 0 0); 2θ = 22.9°, d 3.891, intensity 45, (1 0 2); 2θ = 32.2°, d 2.784, intensity 40, (0 2 2); 2θ = 34.6°, d 2.596, intensity 38, (2 0 0); 2θ = 35.1°, d 2.557, intensity 63, (1 0 4); 2θ = 36.6°, d 2.453, intensity 100, (1 2 2); 2θ = 47.9°, d 1.898, intensity 26, (2 2 2); 2θ = 63.3°, d 1.470, intensity 23, (3 2 2); 2θ = 66.7°, d 1.402, intensity 21, (2 2 6)

---

2.
Starting from a DFT-relaxed cell (GGA-PBE, the Materials Project), the PXRD pattern of YMg14Sn was calculated for Cu Kα (λ = 1.5418 Å).
No peak broadening, texture or thermal motion is included.

Crystal structure
```
data_YMg14Sn
_space_group_name_H-M_alt 'A m m 2'
_space_group_IT_number 38
_space_group_name_Hall 'A 2 -2'
_cell_length_a 10.433
_cell_length_b 6.358
_cell_length_c 11.378
_cell_angle_alpha 90.00
_cell_angle_beta 90.00
_cell_angle_gamma 90.00
loop_
_atom_site_label
_atom_site_fract_x
_atom_site_fract_y
_atom_site_fract_z
Y1 0.000 0.000 0.000
Mg1 0.000 0.246 0.249
Mg2 0.249 0.000 0.665
Mg3 0.256 0.000 0.165
Mg4 0.256 0.250 0.414
Mg5 0.500 0.000 0.499
Mg6 0.500 0.000 0.999
Mg7 0.500 0.249 0.748
Sn1 0.000 0.000 0.495
```

Largest 10 diffraction maxima, sorted by position, 5 to 70 degrees two-theta:
2θ = 8.5°, d 10.433, intensity 69, (1 0 0); 2θ = 15.6°, d 5.689, intensity 20, (0 0 2); 2θ = 17.8°, d 4.995, intensity 30, (1 0 2); 2θ = 32.3°, d 2.775, intensity 29, (0 2 2); 2θ = 34.4°, d 2.608, intensity 39, (4 0 0); 2θ = 36.0°, d 2.497, intensity 53, (2 0 4); 2θ = 36.7°, d 2.450, intensity 100, (2 2 2); 2θ = 47.9°, d 1.901, intensity 19, (4 2 2); 2θ = 63.1°, d 1.474, intensity 22, (6 2 2); 2θ = 67.8°, d 1.381, intensity 20, (4 2 6)

---

3.
Starting from a DFT-relaxed cell (GGA-PBE, the Materials Project), the PXRD pattern of Mg6ZnSn was calculated for Cu Kα (λ = 1.5418 Å).
No peak broadening, texture or thermal motion is included.

Crystal structure
```
data_Mg6ZnSn
_space_group_name_H-M_alt 'A m m 2'
_space_group_IT_number 38
_space_group_name_Hall 'A 2 -2'
_cell_length_a 4.978
_cell_length_b 6.485
_cell_length_c 10.872
_cell_angle_alpha 90.00
_cell_angle_beta 90.00
_cell_angle_gamma 90.00
loop_
_atom_site_label
_atom_site_fract_x
_atom_site_fract_y
_atom_site_fract_z
Mg1 0.000 0.000 0.000
Mg2 0.000 0.000 0.493
Mg3 0.000 0.239 0.246
Mg4 0.500 0.250 0.413
Zn1 0.500 0.000 0.163
Sn1 0.500 0.000 0.663
```

Largest 10 diffraction maxima, sorted by position, 5 to 70 degrees two-theta:
2θ = 16.3°, d 5.436, intensity 38, (0 0 2); 2θ = 17.8°, d 4.978, intensity 31, (1 0 0); 2θ = 24.2°, d 3.671, intensity 30, (1 0 2); 2θ = 32.1°, d 2.785, intensity 34, (0 2 2); 2θ = 33.0°, d 2.717, intensity 31, (0 0 4); 2θ = 36.1°, d 2.489, intensity 34, (2 0 0); 2θ = 37.0°, d 2.430, intensity 100, (1 2 2); 2θ = 37.7°, d 2.386, intensity 47, (1 0 4); 2θ = 49.1°, d 1.856, intensity 22, (2 2 2); 2θ = 65.5°, d 1.425, intensity 18, (3 2 2)

---

4.
Starting from a DFT-relaxed cell (GGA-PBE, the Materials Project), the PXRD pattern of Mg14ZnSn was calculated for Cu Kα (λ = 1.5418 Å).
No peak broadening, texture or thermal motion is included.

Crystal structure
```
data_Mg14ZnSn
_space_group_name_H-M_alt 'A m m 2'
_space_group_IT_number 38
_space_group_name_Hall 'A 2 -2'
_cell_length_a 10.430
_cell_length_b 6.326
_cell_length_c 10.898
_cell_angle_alpha 90.00
_cell_angle_beta 90.00
_cell_angle_gamma 90.00
loop_
_atom_site_label
_atom_site_fract_x
_atom_site_fract_y
_atom_site_fract_z
Mg1 0.000 0.000 0.000
Mg2 0.000 0.000 0.500
Mg3 0.000 0.250 0.250
Mg4 0.248 0.000 0.167
Mg5 0.250 0.000 0.666
Mg6 0.250 0.248 0.417
Mg7 0.500 0.250 0.250
Zn1 0.500 0.000 0.501
Sn1 0.500 0.000 0.000
```

Largest 10 diffraction maxima, sorted by position, 5 to 70 degrees two-theta:
2θ = 8.5°, d 10.430, intensity 61, (1 0 0); 2θ = 16.3°, d 5.453, intensity 19, (0 0 2); 2θ = 18.4°, d 4.833, intensity 30, (1 0 2); 2θ = 32.7°, d 2.735, intensity 28, (0 2 2); 2θ = 34.4°, d 2.607, intensity 40, (4 0 0); 2θ = 37.1°, d 2.422, intensity 100, (2 2 2); 2θ = 37.2°, d 2.415, intensity 50, (2 0 4); 2θ = 48.2°, d 1.886, intensity 27, (4 2 2); 2θ = 63.4°, d 1.467, intensity 32, (6 2 2); 2θ = 69.8°, d 1.348, intensity 20, (4 2 6)

---

5.
Starting from a DFT-relaxed cell (GGA-PBE, the Materials Project), the PXRD pattern of Mg6ZnSn was calculated for Cu Kα (λ = 1.5418 Å).
No peak broadening, texture or thermal motion is included.

Crystal structure
```
data_Mg6ZnSn
_space_group_name_H-M_alt 'A m m 2'
_space_group_IT_number 38
_space_group_name_Hall 'A 2 -2'
_cell_length_a 5.067
_cell_length_b 6.276
_cell_length_c 11.130
_cell_angle_alpha 90.00
_cell_angle_beta 90.00
_cell_angle_gamma 90.00
loop_
_atom_site_label
_atom_site_fract_x
_atom_site_fract_y
_atom_site_fract_z
Mg1 0.000 0.000 0.000
Mg2 0.000 0.243 0.745
Mg3 0.500 0.000 0.165
Mg4 0.500 0.247 0.916
Zn1 0.500 0.000 0.688
Sn1 0.000 0.000 0.497
```

Largest 10 diffraction maxima, sorted by position, 5 to 70 degrees two-theta:
2θ = 16.2°, d 5.467, intensity 53, (0 1 1); 2θ = 23.7°, d 3.747, intensity 30, (1 0 2); 2θ = 23.9°, d 3.716, intensity 28, (1 1 1); 2θ = 32.2°, d 2.783, intensity 19, (0 0 4); 2θ = 33.2°, d 2.702, intensity 26, (1 1 3); 2θ = 35.4°, d 2.533, intensity 36, (2 0 0); 2θ = 36.9°, d 2.439, intensity 38, (1 0 4); 2θ = 37.4°, d 2.406, intensity 100, (1 2 2); 2θ = 57.7°, d 1.597, intensity 19, (0 2 6); 2θ = 64.9°, d 1.437, intensity 19, (3 2 2)

---

6.
Starting from a DFT-relaxed cell (GGA-PBE, the Materials Project), the PXRD pattern of Mg14ZnSn was calculated for Cu Kα (λ = 1.5418 Å).
No peak broadening, texture or thermal motion is included.

Crystal structure
```
data_Mg14ZnSn
_space_group_name_H-M_alt 'P -6 m 2'
_space_group_IT_number 187
_space_group_name_Hall 'P -6 2'
_cell_length_a 6.3041
_cell_length_b 6.3041
_cell_length_c 10.3844
_cell_angle_alpha 90.00
_cell_angle_beta 90.00
_cell_angle_gamma 120.00
loop_
_atom_site_label
_atom_site_fract_x
_atom_site_fract_y
_atom_site_fract_z
Mg1 0.0000 0.0000 0.2483
Mg2 0.0016 0.5008 0.2450
Mg3 0.3332 0.1666 0.0000
Mg4 0.3332 0.1666 0.5000
Zn1 0.3333 0.6667 0.0000
Sn1 0.3333 0.6667 0.5000
```

Largest 10 diffraction maxima, sorted by position, 5 to 70 degrees two-theta:
2θ = 16.2°, d 5.459, intensity 32, (1 0 0); 2θ = 23.6°, d 3.762, intensity 27, (1 0 2); 2θ = 32.8°, d 2.730, intensity 28, (2 0 0); 2θ = 33.3°, d 2.694, intensity 12, (1 1 2); 2θ = 34.5°, d 2.596, intensity 27, (0 0 4); 2θ = 37.2°, d 2.416, intensity 100, (2 0 2); 2θ = 48.4°, d 1.881, intensity 18, (2 0 4); 2θ = 58.6°, d 1.576, intensity 17, (2 2 0); 2θ = 63.7°, d 1.462, intensity 20, (2 0 6); 2θ = 69.8°, d 1.347, intensity 19, (2 2 4)

---

7.
Starting from a DFT-relaxed cell (GGA-PBE, the Materials Project), the PXRD pattern of Mg6ZrSn was calculated for Cu Kα (λ = 1.5418 Å).
No peak broadening, texture or thermal motion is included.

Crystal structure
```
data_Mg6ZrSn
_space_group_name_H-M_alt 'A m m 2'
_space_group_IT_number 38
_space_group_name_Hall 'A 2 -2'
_cell_length_a 5.122
_cell_length_b 6.168
_cell_length_c 11.423
_cell_angle_alpha 90.00
_cell_angle_beta 90.00
_cell_angle_gamma 90.00
loop_
_atom_site_label
_atom_site_fract_x
_atom_site_fract_y
_atom_site_fract_z
Mg1 0.000 0.000 0.000
Mg2 0.000 0.000 0.496
Mg3 0.000 0.242 0.244
Mg4 0.500 0.249 0.583
Zr1 0.500 0.000 0.336
Sn1 0.500 0.000 0.832
```

Largest 10 diffraction maxima, sorted by position, 5 to 70 degrees two-theta:
2θ = 15.5°, d 5.712, intensity 53, (0 0 2); 2θ = 17.3°, d 5.122, intensity 42, (1 0 0); 2θ = 23.3°, d 3.813, intensity 44, (1 0 2); 2θ = 33.0°, d 2.714, intensity 38, (0 2 2); 2θ = 35.0°, d 2.561, intensity 39, (2 0 0); 2θ = 36.0°, d 2.494, intensity 60, (1 0 4); 2θ = 37.5°, d 2.398, intensity 100, (1 2 2); 2θ = 48.9°, d 1.863, intensity 25, (2 2 2); 2θ = 56.8°, d 1.621, intensity 27, (0 2 6); 2θ = 68.5°, d 1.369, intensity 21, (2 2 6)

---

8.
Starting from a DFT-relaxed cell (GGA-PBE, the Materials Project), the PXRD pattern of Mg6ZrSn was calculated for Cu Kα (λ = 1.5418 Å).
No peak broadening, texture or thermal motion is included.

Crystal structure
```
data_Mg6ZrSn
_space_group_name_H-M_alt 'A m m 2'
_space_group_IT_number 38
_space_group_name_Hall 'A 2 -2'
_cell_length_a 4.987
_cell_length_b 6.541
_cell_length_c 11.103
_cell_angle_alpha 90.00
_cell_angle_beta 90.00
_cell_angle_gamma 90.00
loop_
_atom_site_label
_atom_site_fract_x
_atom_site_fract_y
_atom_site_fract_z
Mg1 0.000 0.000 0.000
Mg2 0.000 0.246 0.747
Mg3 0.500 0.000 0.832
Mg4 0.500 0.248 0.082
Zr1 0.000 0.000 0.497
Sn1 0.500 0.000 0.336
```

Largest 10 diffraction maxima, sorted by position, 5 to 70 degrees two-theta:
2θ = 15.7°, d 5.636, intensity 81, (0 1 1); 2θ = 23.8°, d 3.735, intensity 21, (1 1 1); 2θ = 24.0°, d 3.710, intensity 29, (1 0 2); 2θ = 31.8°, d 2.818, intensity 28, (0 2 2); 2θ = 33.1°, d 2.706, intensity 35, (1 1 3); 2θ = 36.0°, d 2.493, intensity 36, (2 0 0); 2θ = 36.6°, d 2.453, intensity 100, (1 2 2); 2θ = 37.1°, d 2.425, intensity 53, (1 0 4); 2θ = 57.2°, d 1.611, intensity 18, (0 2 6); 2θ = 69.5°, d 1.353, intensity 20, (2 2 6)

---

9.
Starting from a DFT-relaxed cell (GGA-PBE, the Materials Project), the PXRD pattern of Sr3Mg was calculated for Cu Kα (λ = 1.5418 Å).
No peak broadening, texture or thermal motion is included.

Crystal structure
```
data_Sr3Mg
_space_group_name_H-M_alt 'I 4/m m m'
_space_group_IT_number 139
_space_group_name_Hall '-I 4 2'
_cell_length_a 5.530
_cell_length_b 5.530
_cell_length_c 11.849
_cell_angle_alpha 90.00
_cell_angle_beta 90.00
_cell_angle_gamma 90.00
loop_
_atom_site_label
_atom_site_fract_x
_atom_site_fract_y
_atom_site_fract_z
Sr1 0.000 0.000 0.000
Sr2 0.000 0.500 0.250
Mg1 0.000 0.000 0.500
```

Largest 10 diffraction maxima, sorted by position, 5 to 70 degrees two-theta:
2θ = 15.0°, d 5.924, intensity 5, (0 0 2); 2θ = 17.7°, d 5.011, intensity 13, (1 0 1); 2θ = 27.3°, d 3.263, intensity 100, (1 1 2); 2θ = 30.2°, d 2.962, intensity 19, (0 0 4); 2θ = 32.4°, d 2.765, intensity 32, (2 0 0); 2θ = 44.8°, d 2.021, intensity 26, (2 0 4); 2θ = 46.4°, d 1.955, intensity 12, (2 2 0); 2θ = 51.9°, d 1.763, intensity 17, (1 1 6); 2θ = 54.7°, d 1.677, intensity 28, (3 1 2); 2θ = 56.4°, d 1.632, intensity 13, (2 2 4)

---

10.
Starting from a DFT-relaxed cell (GGA-PBE, the Materials Project), the PXRD pattern of SrMg2 was calculated for Cu Kα (λ = 1.5418 Å).
No peak broadening, texture or thermal motion is included.

Crystal structure
```
data_SrMg2
_space_group_name_H-M_alt 'C m c m'
_space_group_IT_number 63
_space_group_name_Hall '-C 2c 2'
_cell_length_a 3.765
_cell_length_b 18.213
_cell_length_c 5.592
_cell_angle_alpha 90.00
_cell_angle_beta 90.00
_cell_angle_gamma 90.00
loop_
_atom_site_label
_atom_site_fract_x
_atom_site_fract_y
_atom_site_fract_z
Sr1 0.000 0.069 0.250
Mg1 0.000 0.265 0.750
Mg2 0.000 0.373 0.250
```

Largest 10 diffraction maxima, sorted by position, 5 to 70 degrees two-theta:
2θ = 9.7°, d 9.106, intensity 22, (0 2 0); 2θ = 18.6°, d 4.765, intensity 25, (0 2 1); 2θ = 24.1°, d 3.687, intensity 23, (1 1 0); 2θ = 25.2°, d 3.531, intensity 36, (0 4 1); 2θ = 29.4°, d 3.035, intensity 18, (0 6 0); 2θ = 32.0°, d 2.796, intensity 31, (0 0 2); 2θ = 32.2°, d 2.777, intensity 100, (1 3 1); 2θ = 33.6°, d 2.668, intensity 23, (0 6 1); 2θ = 54.0°, d 1.699, intensity 16, (1 7 2); 2θ = 57.2°, d 1.611, intensity 19, (1 3 3)

---

11.
Starting from a DFT-relaxed cell (GGA-PBE, the Materials Project), the PXRD pattern of SrMg2 was calculated for Cu Kα (λ = 1.5418 Å).
No peak broadening, texture or thermal motion is included.

Crystal structure
```
data_SrMg2
_space_group_name_H-M_alt 'C m c m'
_space_group_IT_number 63
_space_group_name_Hall '-C 2c 2'
_cell_length_a 10.526
_cell_length_b 6.201
_cell_length_c 5.699
_cell_angle_alpha 90.00
_cell_angle_beta 90.00
_cell_angle_gamma 90.00
loop_
_atom_site_label
_atom_site_fract_x
_atom_site_fract_y
_atom_site_fract_z
Sr1 0.000 0.187 0.250
Mg1 0.174 0.341 0.750
```

Largest 10 diffraction maxima, sorted by position, 5 to 70 degrees two-theta:
2θ = 16.8°, d 5.263, intensity 28, (2 0 0); 2θ = 22.8°, d 3.898, intensity 63, (1 1 1); 2θ = 28.8°, d 3.100, intensity 17, (0 2 0); 2θ = 29.2°, d 3.054, intensity 17, (3 1 0); 2θ = 31.4°, d 2.850, intensity 37, (0 0 2); 2θ = 32.9°, d 2.723, intensity 40, (0 2 1); 2θ = 33.3°, d 2.692, intensity 100, (3 1 1); 2θ = 57.1°, d 1.613, intensity 21, (3 1 3); 2θ = 61.4°, d 1.510, intensity 19, (3 3 2); 2θ = 62.1°, d 1.495, intensity 18, (6 0 2)

---

12.
Starting from a DFT-relaxed cell (GGA-PBE, the Materials Project), the PXRD pattern of SrMg3 was calculated for Cu Kα (λ = 1.5418 Å).
No peak broadening, texture or thermal motion is included.

Crystal structure
```
data_SrMg3
_space_group_name_H-M_alt 'F m -3 m'
_space_group_IT_number 225
_space_group_name_Hall '-F 4 2 3'
_cell_length_a 7.695
_cell_length_b 7.695
_cell_length_c 7.695
_cell_angle_alpha 90.00
_cell_angle_beta 90.00
_cell_angle_gamma 90.00
loop_
_atom_site_label
_atom_site_fract_x
_atom_site_fract_y
_atom_site_fract_z
Sr1 0.000 0.000 0.000
Mg1 0.000 0.000 0.500
Mg2 0.250 0.250 0.250
```

Largest 10 diffraction maxima, sorted by position, 5 to 70 degrees two-theta:
2θ = 20.0°, d 4.443, intensity 32, (1 1 1); 2θ = 23.1°, d 3.848, intensity 17, (2 0 0); 2θ = 32.9°, d 2.721, intensity 100, (2 2 0); 2θ = 38.8°, d 2.320, intensity 18, (3 1 1); 2θ = 47.2°, d 1.924, intensity 18, (4 0 0); 2θ = 51.8°, d 1.765, intensity 8, (3 3 1); 2θ = 53.2°, d 1.721, intensity 7, (4 2 0); 2θ = 58.8°, d 1.571, intensity 36, (4 2 2); 2θ = 62.7°, d 1.481, intensity 6, (5 1 1); 2θ = 69.0°, d 1.360, intensity 11, (4 4 0)

---

13.
Starting from a DFT-relaxed cell (GGA-PBE, the Materials Project), the PXRD pattern of SrMg3 was calculated for Cu Kα (λ = 1.5418 Å).
No peak broadening, texture or thermal motion is included.

Crystal structure
```
data_SrMg3
_space_group_name_H-M_alt 'I m m 2'
_space_group_IT_number 44
_space_group_name_Hall 'I 2 -2'
_cell_length_a 3.626
_cell_length_b 11.166
_cell_length_c 5.968
_cell_angle_alpha 90.00
_cell_angle_beta 90.00
_cell_angle_gamma 90.00
loop_
_atom_site_label
_atom_site_fract_x
_atom_site_fract_y
_atom_site_fract_z
Sr1 0.000 0.000 0.000
Mg1 0.000 0.241 0.646
Mg2 0.000 0.500 0.990
```

Largest 10 diffraction maxima, sorted by position, 5 to 70 degrees two-theta:
2θ = 15.9°, d 5.583, intensity 25, (0 2 0); 2θ = 16.8°, d 5.263, intensity 41, (0 1 1); 2θ = 25.8°, d 3.449, intensity 18, (1 1 0); 2θ = 28.8°, d 3.099, intensity 28, (1 0 1); 2θ = 29.9°, d 2.984, intensity 18, (0 0 2); 2θ = 32.1°, d 2.791, intensity 33, (0 4 0); 2θ = 33.1°, d 2.710, intensity 100, (1 2 1); 2θ = 34.1°, d 2.632, intensity 39, (0 2 2); 2θ = 43.6°, d 2.074, intensity 18, (1 4 1); 2θ = 57.8°, d 1.595, intensity 19, (1 6 1)